# NdMg2Ni2
Simulated powder diffraction line list, λ = 1.5418 Å (Cu Kα). Input: a PBE-relaxed structure.
No peak broadening, texture or thermal motion is included.

Peak list (10 most intense, 2θ = 10–90°, by intensity)
2θ/deg  I_rel
17.58  100
35.63  76
36.76  74
45.87  56
31.41  52
45.43  33
60.13  25
24.24  19
44.91  18
35.88  14

a = 5.420 Å, b = 5.420 Å, c = 5.200 Å
α = 103.03°, β = 103.03°, γ = 42.87°
Element x y z (fractional)
1 Nd 0.000 0.000 0.000
2 Mg 0.343 0.343 0.423
3 Mg 0.657 0.657 0.577
4 Ni 0.279 0.279 0.895
5 Ni 0.721 0.721 0.105